1.
Theoretical X-ray diffraction stick pattern
Compound: Nb6GaSn3
Radiation: Cu Kα, 1.54184 Å
Structure: the GGA-PBE geometry in Alexandria

Largest 6 diffraction maxima, in order of rising 2θ, 2θ from 10° to 90°:
2θ = 36.5°, intensity 35.4
2θ = 36.9°, intensity 100.0
2θ = 37.9°, intensity 38.2
2θ = 40.2°, intensity 35.0
2θ = 41.1°, intensity 14.4
2θ = 64.4°, intensity 14.4

Atomic structure:
abc: 7.4873 7.4873 7.4873
angles: 101.18 101.18 101.18
Atoms (fractional coordinates):
Nb1 0.0000 0.2530 0.7470
Nb2 0.0000 0.7470 0.2530
Nb3 0.1748 0.6091 0.6091
Nb4 0.2530 0.0000 0.7470
Nb5 0.2530 0.7470 0.0000
Nb6 0.3909 0.3909 0.8252
Nb7 0.3909 0.8252 0.3909
Nb8 0.6091 0.1748 0.6091
Nb9 0.6091 0.6091 0.1748
Nb10 0.7470 0.0000 0.2530
Nb11 0.7470 0.2530 0.0000
Nb12 0.8252 0.3909 0.3909
Ga1 0.0000 0.0000 0.0000
Ga2 0.5000 0.5000 0.5000
Sn1 0.1640 0.1640 0.4351
Sn2 0.1640 0.4351 0.1640
Sn3 0.4351 0.1640 0.1640
Sn4 0.5649 0.8360 0.8360
Sn5 0.8360 0.5649 0.8360
Sn6 0.8360 0.8360 0.5649

2.
Theoretical X-ray diffraction stick pattern
Compound: YSi2Pt4
Radiation: Cu Kα, 1.54184 Å
Structure: the GGA-PBE geometry in Alexandria

Largest 6 diffraction maxima, in order of rising 2θ, 2θ from 10° to 90°:
2θ = 30.1°, intensity 30.1
2θ = 34.8°, intensity 71.4
2θ = 36.1°, intensity 44.6
2θ = 36.9°, intensity 100.0
2θ = 43.1°, intensity 55.9
2θ = 44.0°, intensity 39.0

Atomic structure:
abc: 16.7337 4.2005 6.6526
angles: 90.00 90.00 90.00
Atoms (fractional coordinates):
Y1 0.1414 0.2500 0.0389
Y2 0.3586 0.7500 0.5389
Y3 0.6414 0.2500 0.4611
Y4 0.8586 0.7500 0.9611
Si1 0.0363 0.7500 0.2461
Si2 0.2084 0.2500 0.5961
Si3 0.2916 0.7500 0.0961
Si4 0.4637 0.2500 0.7461
Si5 0.5363 0.7500 0.2539
Si6 0.7084 0.2500 0.9039
Si7 0.7916 0.7500 0.4039
Si8 0.9637 0.2500 0.7539
Pt1 0.0317 0.7500 0.8668
Pt2 0.0657 0.2500 0.4985
Pt3 0.1719 0.7500 0.3731
Pt4 0.2151 0.7500 0.7902
Pt5 0.2849 0.2500 0.2902
Pt6 0.3281 0.2500 0.8731
Pt7 0.4343 0.7500 0.9985
Pt8 0.4683 0.2500 0.3668
Pt9 0.5317 0.7500 0.6332
Pt10 0.5657 0.2500 0.0015
Pt11 0.6719 0.7500 0.1269
Pt12 0.7151 0.7500 0.7098
Pt13 0.7849 0.2500 0.2098
Pt14 0.8281 0.2500 0.6269
Pt15 0.9343 0.7500 0.5015
Pt16 0.9683 0.2500 0.1332

3.
Theoretical X-ray diffraction stick pattern
Compound: Sm2SeF4
Radiation: Cu Kα, 1.54184 Å
Structure: the GGA-PBE geometry in Alexandria

Largest 6 diffraction maxima, in order of rising 2θ, 2θ from 10° to 90°:
2θ = 23.8°, intensity 51.7
2θ = 28.7°, intensity 100.0
2θ = 33.9°, intensity 52.3
2θ = 35.5°, intensity 44.5
2θ = 45.0°, intensity 73.7
2θ = 59.3°, intensity 21.3

Atomic structure:
abc: 7.4741 7.4741 3.8554
angles: 90.00 90.00 90.00
Atoms (fractional coordinates):
Sm1 0.2209 0.2209 0.0000
Sm2 0.2791 0.7209 0.5000
Sm3 0.7209 0.2791 0.5000
Sm4 0.7791 0.7791 0.0000
Se1 0.0000 0.0000 0.5000
Se2 0.5000 0.5000 0.0000
F1 0.0875 0.6708 0.0000
F2 0.1708 0.4125 0.5000
F3 0.3292 0.9125 0.0000
F4 0.4125 0.1708 0.5000
F5 0.5875 0.8292 0.5000
F6 0.6708 0.0875 0.0000
F7 0.8292 0.5875 0.5000
F8 0.9125 0.3292 0.0000